(1)
Starting from a structure optimized by DFT (GGA-PBE), the powder XRD pattern of PuPbO3 was simulated for λ = 1.5418 Å (Cu Kα).

Atomic structure:
Cell: 6.2526 6.2526 6.3485 Å, 90.00 90.00 120.00°
Space group P-6c2 (No. 188)
Inequivalent atoms, fractional coordinates:
Pu 0.0000 0.0000 0.0000 x2
Pb 0.3333 0.6667 0.0000 x2
O 0.0899 0.2910 0.2500 x6

The 12 most intense peaks (2θ = 15–90°), most intense first:
d/Å	2θ (°)	I_rel	(hkl)
5.415	16.37	100.0	1 0 0
3.126	28.55	84.3	1 1 0
2.227	40.50	78.5	1 1 2
2.738	32.70	28.2	1 0 2
1.569	58.86	25.5	3 0 2
3.174	28.11	24.4	0 0 2
2.060	43.96	20.0	2 0 2
1.805	50.57	19.3	3 0 0
1.107	88.24	17.6	4 1 2
1.415	66.01	17.0	1 1 4
1.402	66.70	16.3	2 2 2
1.720	53.25	16.2	2 1 2

(2)
Starting from a structure optimized by DFT (GGA-PBE), the powder XRD pattern of ThBeRu was simulated for λ = 1.5418 Å (Cu Kα).

Atomic structure:
Cell: 4.2471 4.2815 6.3493 Å, 90.00 96.07 90.00°
Space group P2_1/m (No. 11)
Inequivalent atoms, fractional coordinates:
Th 0.2244 0.2500 0.1863 x2
Be 0.2715 0.2500 0.6621 x2
Ru 0.2518 0.7500 0.4994 x2

The 12 most intense peaks (2θ = 15–90°), most intense first:
d/Å	2θ (°)	I_rel	(hkl)
3.544	25.13	100.0	0 1 1
3.695	24.08	63.3	1 0 -1
2.264	39.82	62.0	1 1 -2
2.639	33.98	56.9	1 1 1
3.351	26.60	36.3	1 0 1
2.141	42.21	36.0	0 2 0
2.100	43.08	33.7	1 1 2
2.798	31.99	32.2	1 1 -1
2.112	42.82	32.2	2 0 0
2.541	35.32	29.4	0 1 2
2.105	42.98	28.9	0 0 3
3.007	29.71	24.9	1 1 0

(3)
Starting from a structure optimized by DFT (GGA-PBE), the powder XRD pattern of CaBiClO2 was simulated for λ = 1.5418 Å (Cu Kα).

Atomic structure:
Cell: 6.5114 4.1663 7.8240 Å, 90.00 104.64 90.00°
Space group P2_1/m (No. 11)
Inequivalent atoms, fractional coordinates:
Ca 0.1715 0.2500 0.4208 x2
Bi 0.1750 0.2500 0.9059 x2
Cl 0.4464 0.7500 0.6879 x2
O 0.0122 0.7500 0.3580 x2
O 0.0279 0.7500 0.9012 x2

The 12 most intense peaks (2θ = 15–90°), most intense first:
d/Å	2θ (°)	I_rel	(hkl)
3.475	25.63	100.0	1 1 0
3.340	26.69	86.6	1 1 -1
2.802	31.95	66.0	0 1 2
4.334	20.49	60.2	1 0 1
2.934	30.47	56.6	1 0 2
2.793	32.05	55.5	2 0 -2
2.513	35.73	47.7	2 1 0
1.699	53.97	35.2	1 2 2
2.083	43.44	29.2	0 2 0
1.855	49.11	27.8	3 1 -2
2.759	32.46	27.6	1 1 -2
1.923	47.27	24.0	2 1 2

Copy entry 2 word for word.
Starting from a structure optimized by DFT (GGA-PBE), the powder XRD pattern of ThBeRu was simulated for λ = 1.5418 Å (Cu Kα).

Atomic structure:
Cell: 4.2471 4.2815 6.3493 Å, 90.00 96.07 90.00°
Space group P2_1/m (No. 11)
Inequivalent atoms, fractional coordinates:
Th 0.2244 0.2500 0.1863 x2
Be 0.2715 0.2500 0.6621 x2
Ru 0.2518 0.7500 0.4994 x2

The 12 most intense peaks (2θ = 15–90°), most intense first:
d/Å	2θ (°)	I_rel	(hkl)
3.544	25.13	100.0	0 1 1
3.695	24.08	63.3	1 0 -1
2.264	39.82	62.0	1 1 -2
2.639	33.98	56.9	1 1 1
3.351	26.60	36.3	1 0 1
2.141	42.21	36.0	0 2 0
2.100	43.08	33.7	1 1 2
2.798	31.99	32.2	1 1 -1
2.112	42.82	32.2	2 0 0
2.541	35.32	29.4	0 1 2
2.105	42.98	28.9	0 0 3
3.007	29.71	24.9	1 1 0

Which formula does entry 3 have?
CaBiClO2